Diffraction record for Tm4Pd3Pt. The X-ray diffraction stick pattern is simulated, not measured: it uses a cell relaxed with PBE and a wavelength of 1.5418 Å.

Largest 10 diffraction maxima, sorted by position, 5° ≤ 2θ ≤ 70°:
2θ/deg, intensity
32.5, 100
34.4, 31
35.4, 19
40.0, 19
40.3, 32
40.9, 64
49.2, 18
54.0, 17
65.4, 15
68.4, 12

Cell and atoms:
```
Tm4Pd3Pt
1.0
3.701 0.000 0.000
0.000 4.477 0.000
0.000 0.000 10.426
Tm Pd Pt
4 3 1
Direct
0.000 0.000 0.000
0.000 0.500 0.273
0.500 0.000 0.494
0.500 0.500 0.773
0.000 0.000 0.722
0.000 0.500 0.550
0.500 0.500 0.045
0.500 0.000 0.222
```